[1]
Structure and theoretical powder XRD pattern of BaLi3In (DFT lattice parameters and positions (GGA-PBE); Cu Kα, 1.54184 Å).
Peak positions follow from Bragg's law for the DFT cell and can differ from measured ones.

abc: 7.0161 7.0161 6.6926
angles: 90.00 90.00 120.00
Element x y z (fractional)
Ba (0.3333, 0.6667, 0.2500)
Ba (0.6667, 0.3333, 0.7500)
Li (0.1856, 0.3713, 0.7500)
Li (0.1856, 0.8144, 0.7500)
Li (0.3713, 0.1856, 0.2500)
Li (0.6287, 0.8144, 0.7500)
Li (0.8144, 0.1856, 0.2500)
Li (0.8144, 0.6287, 0.2500)
In (0.0000, 0.0000, 0.0000)
In (0.0000, 0.0000, 0.5000)

Main lines, in order of falling intensity (10° ≤ 2θ ≤ 90°):
2θ/deg  Rel. int.  index
25.4  100  1 1 0
19.7  72  1 0 1
30.5  70  1 0 2
48.0  36  2 1 2
40.1  36  2 0 2
32.4  29  2 0 1
41.6  22  2 1 1
44.7  21  3 0 0

[2]
Structure and theoretical powder XRD pattern of Tb7InS5 (DFT lattice parameters and positions (GGA-PBE); Cu Kα, 1.54184 Å).
Peak positions follow from Bragg's law for the DFT cell and can differ from measured ones.

abc: 3.9424 23.6604 6.8458
angles: 90.00 106.69 90.00
Element x y z (fractional)
Tb (0.0146, 0.2500, 0.0289)
Tb (0.1360, 0.5356, 0.2723)
Tb (0.1360, 0.9644, 0.2723)
Tb (0.3240, 0.1716, 0.6487)
Tb (0.3240, 0.3284, 0.6487)
Tb (0.4076, 0.6098, 0.8150)
Tb (0.4076, 0.8902, 0.8150)
Tb (0.5924, 0.1098, 0.1850)
Tb (0.5924, 0.3902, 0.1850)
Tb (0.6760, 0.6716, 0.3513)
Tb (0.6760, 0.8284, 0.3513)
Tb (0.8640, 0.0356, 0.7277)
Tb (0.8640, 0.4644, 0.7277)
Tb (0.9854, 0.7500, 0.9711)
In (0.3014, 0.7500, 0.6038)
In (0.6986, 0.2500, 0.3962)
S (0.0439, 0.6391, 0.0879)
S (0.0439, 0.8609, 0.0879)
S (0.2264, 0.0698, 0.4531)
S (0.2264, 0.4302, 0.4531)
S (0.5000, 0.0000, 0.0000)
S (0.5000, 0.5000, 0.0000)
S (0.7736, 0.5698, 0.5469)
S (0.7736, 0.9302, 0.5469)
S (0.9561, 0.1391, 0.9121)
S (0.9561, 0.3609, 0.9121)

Main lines, in order of falling intensity (10° ≤ 2θ ≤ 90°):
2θ/deg  Rel. int.  index
29.7  100  0 7 1
31.5  100  1 2 1
32.6  58  1 3 1
28.0  54  1 4 0
45.7  43  0 5 3
30.3  39  1 5 0
55.8  34  2 7 -2
46.0  33  2 0 -1

[3]
Structure and theoretical powder XRD pattern of NiTe2Rh (DFT lattice parameters and positions (GGA-PBE); Cu Kα, 1.54184 Å).
Peak positions follow from Bragg's law for the DFT cell and can differ from measured ones.

abc: 5.4414 11.9856 5.6724
angles: 90.00 90.00 90.00
Element x y z (fractional)
Ni (0.0000, 0.0000, 0.2500)
Ni (0.0000, 0.0000, 0.7500)
Ni (0.5000, 0.5000, 0.2500)
Ni (0.5000, 0.5000, 0.7500)
Te (0.2360, 0.1384, 0.0000)
Te (0.2360, 0.8616, 0.5000)
Te (0.2640, 0.3616, 0.5000)
Te (0.2640, 0.6384, 0.0000)
Te (0.7360, 0.3616, 0.0000)
Te (0.7360, 0.6384, 0.5000)
Te (0.7640, 0.1384, 0.5000)
Te (0.7640, 0.8616, 0.0000)
Rh (0.0000, 0.5000, 0.2500)
Rh (0.0000, 0.5000, 0.7500)
Rh (0.5000, 0.0000, 0.2500)
Rh (0.5000, 0.0000, 0.7500)

Main lines, in order of falling intensity (10° ≤ 2θ ≤ 90°):
2θ/deg  Rel. int.  index
27.1  100  1 2 1
44.0  37  0 4 2
45.0  34  2 4 0
46.2  34  2 0 2
14.8  31  0 2 0
35.0  20  0 2 2
36.3  18  2 2 0
53.5  15  1 2 3